Starting from a crystal structure in the Materials Project, relaxed with PBE, the powder X-ray diffraction pattern of In5AgS8 was computed for CuKα.

Peak list (12 most intense, 10° ≤ 2θ ≤ 90°, by angle)
13.95°, I 10.0
22.88°, I 27.8
26.89°, I 100.0
32.58°, I 24.9
40.18°, I 12.7
42.73°, I 45.5
46.74°, I 62.7
54.75°, I 12.7
65.17°, I 21.8
74.78°, I 12.3
83.96°, I 9.3
86.79°, I 18.9

```
data_In5AgS8
_chemical_formula_sum 'In20 Ag4 S32'
_cell_length_a 10.9949
_cell_length_b 10.9949
_cell_length_c 10.9949
_cell_angle_alpha 90.00
_cell_angle_beta 90.00
_cell_angle_gamma 90.00
_space_group_name_H-M_alt 'F -4 3 m'
_space_group_IT_number 216
_space_group_name_Hall 'F -4 2 3'
loop_
_atom_site_label
_atom_site_fract_x
_atom_site_fract_y
_atom_site_fract_z
_atom_site_occupancy
In1 0.0000 0.0000 0.0000 1
In2 0.1192 0.1192 0.6192 1
Ag1 0.2500 0.2500 0.2500 1
S1 0.1176 0.1176 0.3824 1
S2 0.1343 0.1343 0.8657 1
```